Calculated PXRD pattern
Compound: GaCu3NF3
Radiation: a wavelength of 1.5418 Å
Structure: a crystal structure in OQMD, relaxed with GGA-PBE
Neutral-atom scattering factors, no anomalous dispersion.

The 10 most intense peaks (15 to 90 degrees two-theta), in order of rising 2θ:
d = 3.969 Å, rel. 64, hkl 1 1 1
d = 3.933 Å, rel. 39, hkl 1 0 2
d = 2.685 Å, rel. 33, hkl 2 0 2
d = 2.538 Å, rel. 100, hkl 0 2 2
d = 2.501 Å, rel. 38, hkl 0 0 4
d = 2.328 Å, rel. 23, hkl 1 0 4
d = 2.144 Å, rel. 41, hkl 2 1 3
d = 2.122 Å, rel. 32, hkl 3 0 0
d = 1.844 Å, rel. 25, hkl 1 3 1
d = 1.628 Å, rel. 57, hkl 3 2 2

Structural model:
Cell lengths 6.3647, 5.8915, 10.0045 Å; angles 90.00, 90.00, 90.00 degrees
Space group Aem2 (No. 39)
Symmetry-distinct sites (fractional):
Ga1 0.1567 0.2500 0.0000 (multiplicity 4)
Cu1 0.1874 0.0514 0.7147 (multiplicity 8)
Cu2 0.4605 0.2500 0.8818 (multiplicity 4)
N1 0.0616 0.2500 0.1788 (multiplicity 4)
F1 0.0000 0.0000 0.4252 (multiplicity 4)
F2 0.3342 0.2500 0.5171 (multiplicity 4)
F3 0.5000 0.0000 0.2286 (multiplicity 4)